No. 1
Starting from a PBE-relaxed structure, the powder diffractogram of SbC2N2F5 was simulated for Cu Kα, 1.54184 Å.

Cell and atoms:
Cell: 8.917 8.917 6.639 Å, 90.00 90.00 135.31°
Element x y z (fractional)
Sb1 0.131 0.869 0.750
Sb2 0.869 0.131 0.250
C1 0.336 0.664 0.750
C2 0.419 0.581 0.750
C3 0.581 0.419 0.250
C4 0.664 0.336 0.250
N1 0.266 0.734 0.750
N2 0.490 0.510 0.750
N3 0.510 0.490 0.250
N4 0.734 0.266 0.250
F1 0.017 0.983 0.750
F2 0.050 0.336 0.044
F3 0.059 0.345 0.447
F4 0.336 0.050 0.956
F5 0.345 0.059 0.553
F6 0.655 0.941 0.053
F7 0.664 0.950 0.456
F8 0.941 0.655 0.947
F9 0.950 0.664 0.544
F10 0.983 0.017 0.250

Top 10 peaks for 10 to 90 degrees two-theta, sorted by position:
| d/Å | Position (°2θ) | I/Imax |
| --- | --- | --- |
| 6.271 | 14.1 | 43 |
| 5.171 | 17.1 | 58 |
| 4.559 | 19.5 | 100 |
| 4.270 | 20.8 | 24 |
| 4.123 | 21.6 | 29 |
| 3.591 | 24.8 | 24 |
| 2.835 | 31.6 | 12 |
| 2.540 | 35.3 | 12 |
| 2.372 | 37.9 | 30 |
| 2.056 | 44.0 | 12 |

=====

No. 2
Starting from a PBE-relaxed structure, the powder diffractogram of Tm4CuSn2 was simulated for Cu Kα, 1.54184 Å.

Cell and atoms:
Cell: 16.761 3.556 6.832 Å, 90.00 113.68 90.00°
Element x y z (fractional)
Tm1 0.085 0.000 0.435
Tm2 0.115 0.500 0.912
Tm3 0.385 0.000 0.088
Tm4 0.415 0.500 0.565
Tm5 0.585 0.500 0.435
Tm6 0.615 0.000 0.912
Tm7 0.885 0.500 0.088
Tm8 0.915 0.000 0.565
Cu1 0.000 0.000 0.000
Cu2 0.500 0.500 0.000
Sn1 0.250 0.000 0.299
Sn2 0.250 0.500 0.701
Sn3 0.750 0.000 0.701
Sn4 0.750 0.500 0.299

Top 10 peaks for 10 to 90 degrees two-theta, sorted by position:
| d/Å | Position (°2θ) | I/Imax |
| --- | --- | --- |
| 3.113 | 28.7 | 33 |
| 2.920 | 30.6 | 100 |
| 2.793 | 32.0 | 14 |
| 2.559 | 35.1 | 52 |
| 2.433 | 36.9 | 55 |
| 2.251 | 40.0 | 10 |
| 1.918 | 47.4 | 28 |
| 1.778 | 51.4 | 14 |
| 1.642 | 56.0 | 14 |
| 1.460 | 63.7 | 19 |

=====

No. 3
Starting from a PBE-relaxed structure, the powder diffractogram of CsErPd2F8 was simulated for Cu Kα, 1.54184 Å.

Cell and atoms:
Cell: 5.937 5.937 8.435 Å, 90.00 90.00 120.00°
Element x y z (fractional)
Cs1 0.000 0.000 0.000
Er1 0.000 0.000 0.500
Pd1 0.333 0.667 0.727
Pd2 0.667 0.333 0.273
F1 0.008 0.293 0.656
F2 0.284 0.992 0.656
F3 0.293 0.284 0.344
F4 0.333 0.667 0.965
F5 0.667 0.333 0.035
F6 0.707 0.716 0.656
F7 0.716 0.008 0.344
F8 0.992 0.707 0.344

Top 10 peaks for 10 to 90 degrees two-theta, sorted by position:
| d/Å | Position (°2θ) | I/Imax |
| --- | --- | --- |
| 5.141 | 17.2 | 37 |
| 4.390 | 20.2 | 62 |
| 3.261 | 27.4 | 100 |
| 2.968 | 30.1 | 69 |
| 2.195 | 41.1 | 37 |
| 1.895 | 48.0 | 18 |
| 1.765 | 51.8 | 37 |
| 1.719 | 53.3 | 32 |
| 1.714 | 53.5 | 22 |
| 1.351 | 69.6 | 14 |

=====

No. 4
Starting from a PBE-relaxed structure, the powder diffractogram of BaH2SN was simulated for Cu Kα, 1.54184 Å.

Cell and atoms:
Cell: 6.748 6.748 6.748 Å, 117.55 117.55 94.30°
Element x y z (fractional)
Ba1 0.000 0.000 0.000
Ba2 0.500 0.500 0.000
H1 0.233 0.733 0.303
H2 0.430 0.930 0.697
H3 0.733 0.430 0.500
H4 0.930 0.233 0.500
S1 0.438 0.938 0.500
S2 0.938 0.438 0.500
N1 0.250 0.250 0.000
N2 0.750 0.750 0.000

Top 10 peaks for 10 to 90 degrees two-theta, sorted by position:
| d/Å | Position (°2θ) | I/Imax |
| --- | --- | --- |
| 4.947 | 17.9 | 81 |
| 4.589 | 19.3 | 59 |
| 3.498 | 25.5 | 100 |
| 3.364 | 26.5 | 51 |
| 2.782 | 32.2 | 67 |
| 2.473 | 36.3 | 37 |
| 2.177 | 41.5 | 33 |
| 2.081 | 43.5 | 31 |
| 1.993 | 45.5 | 24 |
| 1.593 | 57.9 | 25 |